Structure and calculated powder X-ray diffraction pattern of NpZnRu (a crystal structure in Alexandria, relaxed with GGA-PBE; Cu Kα (weighted mean of Kα1 and Kα2)).
Peak positions follow from Bragg's law for the DFT cell and can differ from measured ones.

a b c (Å): 4.2717 4.9792 10.4155
angles (deg): 90.00 90.00 90.00
Space group Immm (No. 71)
Symmetry-distinct sites (fractional):
Np (0.0000, 0.0000, 0.1909) [4 per cell]
Zn (0.0000, 0.2471, 0.5000) [4 per cell]
Ru (0.0000, 0.5000, 0.1299) [4 per cell]

Most intense lines, 2θ from 5° to 70°, sorted by position:
h k l  2θ (°)  intensity
0 0 2  17.0  21
1 1 2  32.5  43
1 0 3  33.3  100
0 2 0  36.1  22
0 2 2  40.1  29
2 0 0  42.3  33
1 2 1  42.9  39
0 1 5  47.3  23
1 2 3  49.9  24
2 2 2  59.7  20